For K2TaF7, a DFT-relaxed cell (GGA-PBE, Alexandria) gives the computed XRD peak list in this record (Cu Ka).

Top 8 peaks for 2θ = 10–90°, sorted by position:
16.94°, d = 5.235 Å, rel. 39, (0 1 1); 17.36°, d = 5.107 Å, rel. 42, (2 0 0); 17.74°, d = 4.999 Å, rel. 100, (1 0 2); 19.05°, d = 4.658 Å, rel. 92, (1 1 1); 24.35°, d = 3.655 Å, rel. 67, (2 1 1); 27.84°, d = 3.205 Å, rel. 29, (0 1 3); 43.62°, d = 2.075 Å, rel. 35, (3 2 2); 47.75°, d = 1.905 Å, rel. 35, (4 0 4)

Structure:
Cell lengths 10.2137, 5.8836, 11.4656 Å; angles 90.00, 90.00, 90.00 degrees
Space group Pnma (No. 62)
Unique sites:
K 0.0227 0.2500 0.1695
K 0.1198 0.2500 0.5587
Ta 0.2468 0.7500 0.3860
F 0.1059 0.5306 0.3471
F 0.1382 0.7500 0.5309
F 0.1551 0.0310 0.9839
F 0.1707 0.0472 0.7695